Structure and calculated PXRD pattern of Sm6Fe6As6O5F (a cell relaxed with PBE+U; Cu Ka).
Intensities are scaled so that the largest is 100.

Principal peaks in the range 10 to 80 degrees two-theta, most intense first:
d/Å, 2θ (°), I/Imax
3.007, 29.71, 100.0
2.406, 37.38, 26.4
1.668, 55.06, 25.6
1.773, 51.54, 25.2
2.836, 31.55, 22.5
2.707, 33.09, 22.2
2.008, 45.16, 16.9
2.003, 45.28, 16.6
2.416, 37.21, 13.1
1.418, 65.88, 12.3

Crystal structure
Lattice parameters (Å, degrees): 8.0317 12.0174 9.9306 90.00 113.78 90.00
Space group P2_1/m (No. 11)
Unique sites:
Sm  0.1792  0.2500  0.1318 x2
Sm  0.1892  0.5827  0.1281 x4
Sm  0.2951  0.7500  0.8636 x2
Sm  0.3074  0.0738  0.8647 x4
Fe  0.1264  0.2500  0.5038 x2
Fe  0.1293  0.5830  0.4998 x4
Fe  0.3737  0.7500  0.4969 x2
Fe  0.3791  0.0830  0.5021 x4
As  0.0310  0.7500  0.3138 x2
As  0.0341  0.0846  0.3179 x4
As  0.4672  0.2500  0.6870 x2
As  0.4698  0.5856  0.6868 x4
O  0.1249  0.7500  0.9991 x2
O  0.1285  0.0848  0.9983 x4
O  0.3790  0.5870  0.9983 x4
F  0.3745  0.2500  0.9991 x2